Entry 1:
Computed powder diffractogram
Compound: Y3TmMg7
Radiation: copper Kα
Structure: DFT lattice parameters and positions (GGA-PBE)

Most intense lines, 5° ≤ 2θ ≤ 70°, sorted by position:
- 7.87 deg, rel. 32
- 19.22 deg, rel. 100
- 21.92 deg, rel. 40
- 31.43 deg, rel. 53
- 31.85 deg, rel. 86
- 35.13 deg, rel. 39
- 35.35 deg, rel. 70
- 36.91 deg, rel. 36

Atomic structure:
Cell: 3.326 22.465 16.217 Å, 90.00 90.00 90.00°
Space group Cmcm (No. 63)
Unique sites:
Y 0.000 0.118 0.036
Y 0.000 0.241 0.750
Tm 0.000 0.015 0.750
Mg 0.000 0.262 0.074
Mg 0.000 0.375 0.158
Mg 0.000 0.388 0.750
Mg 0.000 0.492 0.084



Entry 2:
Computed powder diffractogram
Compound: YTmMg6
Radiation: copper Kα
Structure: DFT lattice parameters and positions (GGA-PBE)

Most intense lines, 5° ≤ 2θ ≤ 70°, sorted by position:
- 14.65 deg, rel. 53
- 22.89 deg, rel. 50
- 24.01 deg, rel. 34
- 24.47 deg, rel. 18
- 32.78 deg, rel. 28
- 32.97 deg, rel. 24
- 34.54 deg, rel. 100
- 35.41 deg, rel. 26

Atomic structure:
Cell: 5.070 7.275 10.868 Å, 90.00 90.00 90.00°
Space group Amm2 (No. 38)
Unique sites:
Y 0.000 0.000 0.000
Tm 0.500 0.000 0.261
Mg 0.000 0.000 0.461
Mg 0.000 0.217 0.731
Mg 0.500 0.000 0.798
Mg 0.500 0.216 0.530



Entry 3:
Computed powder diffractogram
Compound: Y9Tm4Mg11
Radiation: copper Kα
Structure: DFT lattice parameters and positions (GGA-PBE)

Most intense lines, 5° ≤ 2θ ≤ 70°, sorted by position:
- 23.81 deg, rel. 46
- 24.76 deg, rel. 64
- 32.31 deg, rel. 100
- 33.01 deg, rel. 61
- 33.69 deg, rel. 34
- 34.62 deg, rel. 76
- 41.12 deg, rel. 49
- 60.19 deg, rel. 36

Atomic structure:
Cell: 16.536 22.418 3.596 Å, 90.00 90.00 90.00°
Space group Cmmm (No. 65)
Unique sites:
Y 0.000 0.000 0.000
Y 0.112 0.233 0.000
Y 0.115 0.407 0.000
Tm 0.166 0.084 0.000
Mg 0.000 0.132 0.500
Mg 0.000 0.322 0.500
Mg 0.000 0.500 0.500
Mg 0.217 0.500 0.500
Mg 0.233 0.321 0.500